# 1
# Mn2CoO6
Calculated powder diffraction line list, CuKα. Input: a DFT-relaxed cell (PBE+U, the Materials Project).

Peak list (8 most intense, 10 to 90 degrees two-theta, low angle first)
19.22°, I = 100.0
35.28°, I = 7.7
36.56°, I = 35.2
40.46°, I = 26.0
46.23°, I = 34.8
53.61°, I = 13.2
62.05°, I = 15.7
64.15°, I = 17.3

Crystal structure
Cell: 5.1009 5.1009 9.2336 Å, 90.00 90.00 59.83°
Element x y z (fractional)
Mn (0.1668, 0.1668, 0.0000)
Mn (0.3332, 0.3332, 0.5000)
Mn (0.6668, 0.6668, 0.5000)
Mn (0.8332, 0.8332, 0.0000)
Co (0.0000, 0.0000, 0.5000)
Co (0.5000, 0.5000, 0.0000)
O (0.0006, 0.3368, 0.3962)
O (0.1632, 0.4994, 0.1038)
O (0.1644, 0.8356, 0.8972)
O (0.3356, 0.6644, 0.3972)
O (0.3368, 0.0006, 0.6038)
O (0.4994, 0.1632, 0.8962)
O (0.5006, 0.8368, 0.1038)
O (0.6632, 0.9994, 0.3962)
O (0.6644, 0.3356, 0.6028)
O (0.8356, 0.1644, 0.1028)
O (0.8368, 0.5006, 0.8962)
O (0.9994, 0.6632, 0.6038)


# 2
# MnCo3P4O16
Calculated powder diffraction line list, CuKα. Input: a DFT-relaxed cell (PBE+U, the Materials Project).

Peak list (8 most intense, 10 to 90 degrees two-theta, low angle first)
18.16°, I = 71.3
20.49°, I = 89.0
25.43°, I = 89.2
30.07°, I = 100.0
36.54°, I = 85.4
36.67°, I = 30.7
41.39°, I = 23.5
57.72°, I = 21.2

Crystal structure
Cell: 4.8376 5.9412 9.7683 Å, 90.00 90.05 90.00°
Element x y z (fractional)
Mn (0.0000, 0.0000, 0.0000)
Co (0.4010, 0.0000, 0.4876)
Co (0.5044, 0.5000, 0.9306)
Co (0.9014, 0.5000, 0.4457)
P (0.0235, 0.5000, 0.1171)
P (0.3426, 0.5000, 0.6199)
P (0.5158, 0.0000, 0.8136)
P (0.8424, 0.0000, 0.3153)
O (0.0772, 0.5000, 0.2732)
O (0.1579, 0.0000, 0.3378)
O (0.1738, 0.2979, 0.0469)
O (0.1738, 0.7021, 0.0469)
O (0.1938, 0.2970, 0.5484)
O (0.1938, 0.7030, 0.5484)
O (0.2021, 0.0000, 0.8333)
O (0.2777, 0.5000, 0.7738)
O (0.5797, 0.0000, 0.6595)
O (0.6575, 0.5000, 0.5964)
O (0.6627, 0.2036, 0.8871)
O (0.6627, 0.7964, 0.8871)
O (0.6943, 0.2029, 0.3862)
O (0.6943, 0.7971, 0.3862)
O (0.7089, 0.5000, 0.0968)
O (0.7813, 0.0000, 0.1610)


# 3
# Mn5CoP6O24
Calculated powder diffraction line list, CuKα. Input: a DFT-relaxed cell (PBE+U, the Materials Project).

Peak list (8 most intense, 10 to 90 degrees two-theta, low angle first)
20.87°, I = 88.1
24.46°, I = 100.0
32.41°, I = 18.4
33.10°, I = 69.5
36.56°, I = 37.6
47.54°, I = 32.6
50.14°, I = 25.5
57.26°, I = 26.9

Crystal structure
Cell: 8.5645 8.5645 8.5645 Å, 59.60 59.60 59.60°
Element x y z (fractional)
Mn (0.0000, 0.0000, 0.0000)
Mn (0.1434, 0.1434, 0.1434)
Mn (0.4984, 0.4984, 0.4984)
Mn (0.6427, 0.6427, 0.6427)
Mn (0.8562, 0.8562, 0.8562)
Co (0.3583, 0.3583, 0.3583)
P (0.0406, 0.7470, 0.4601)
P (0.2511, 0.5371, 0.9649)
P (0.4601, 0.0406, 0.7470)
P (0.5371, 0.9649, 0.2511)
P (0.7470, 0.4601, 0.0406)
P (0.9649, 0.2511, 0.5371)
O (0.0114, 0.8003, 0.6210)
O (0.0563, 0.9165, 0.2639)
O (0.0814, 0.7350, 0.9461)
O (0.1252, 0.3012, 0.5097)
O (0.1992, 0.3782, 0.9883)
O (0.2365, 0.5791, 0.4435)
O (0.2639, 0.0563, 0.9165)
O (0.3012, 0.5097, 0.1252)
O (0.3782, 0.9883, 0.1992)
O (0.4165, 0.5556, 0.7651)
O (0.4435, 0.2365, 0.5791)
O (0.4881, 0.8772, 0.6993)
O (0.5097, 0.1252, 0.3012)
O (0.5556, 0.7651, 0.4165)
O (0.5791, 0.4435, 0.2365)
O (0.6210, 0.0114, 0.8003)
O (0.6993, 0.4881, 0.8772)
O (0.7350, 0.9461, 0.0814)
O (0.7651, 0.4165, 0.5556)
O (0.8003, 0.6210, 0.0114)
O (0.8772, 0.6993, 0.4881)
O (0.9165, 0.2639, 0.0563)
O (0.9461, 0.0814, 0.7350)
O (0.9883, 0.1992, 0.3782)


# 4
# Ti3MnCo2P6O24
Calculated powder diffraction line list, CuKα. Input: a DFT-relaxed cell (PBE+U, the Materials Project).

Peak list (8 most intense, 10 to 90 degrees two-theta, low angle first)
20.47°, I = 71.1
24.19°, I = 100.0
33.03°, I = 68.3
35.86°, I = 33.9
47.34°, I = 26.9
49.54°, I = 26.2
56.10°, I = 19.6
62.65°, I = 18.8

Crystal structure
Cell: 8.5673 8.5673 8.5673 Å, 60.84 60.84 60.84°
Element x y z (fractional)
Ti (0.0000, 0.0000, 0.0000)
Ti (0.2104, 0.2104, 0.2104)
Ti (0.5035, 0.5035, 0.5035)
Mn (0.7117, 0.7117, 0.7117)
Co (0.3555, 0.3555, 0.3555)
Co (0.8526, 0.8526, 0.8526)
P (0.1118, 0.3981, 0.8109)
P (0.3062, 0.9059, 0.6090)
P (0.3981, 0.8109, 0.1118)
P (0.6090, 0.3062, 0.9059)
P (0.8109, 0.1118, 0.3981)
P (0.9059, 0.6090, 0.3062)
O (0.0431, 0.2367, 0.8586)
O (0.0995, 0.4442, 0.2833)
O (0.1085, 0.9158, 0.7674)
O (0.1921, 0.3356, 0.9671)
O (0.2367, 0.8586, 0.0431)
O (0.2729, 0.4071, 0.6156)
O (0.2833, 0.0995, 0.4442)
O (0.3356, 0.9671, 0.1921)
O (0.3595, 0.7374, 0.5451)
O (0.4071, 0.6156, 0.2729)
O (0.4442, 0.2833, 0.0995)
O (0.4543, 0.8788, 0.6723)
O (0.5451, 0.3595, 0.7374)
O (0.5903, 0.8082, 0.9589)
O (0.6156, 0.2729, 0.4071)
O (0.6723, 0.4543, 0.8788)
O (0.7374, 0.5451, 0.3595)
O (0.7674, 0.1085, 0.9158)
O (0.8082, 0.9589, 0.5903)
O (0.8586, 0.0431, 0.2367)
O (0.8788, 0.6723, 0.4543)
O (0.9158, 0.7674, 0.1085)
O (0.9589, 0.5903, 0.8082)
O (0.9671, 0.1921, 0.3356)


# 5
# Mn2V3CoP6O24
Calculated powder diffraction line list, CuKα. Input: a DFT-relaxed cell (PBE+U, the Materials Project).

Peak list (8 most intense, 10 to 90 degrees two-theta, low angle first)
20.66°, I = 83.4
24.29°, I = 100.0
32.99°, I = 73.0
36.19°, I = 35.2
47.34°, I = 27.4
49.77°, I = 26.9
56.66°, I = 35.9
63.07°, I = 19.4

Crystal structure
Cell: 8.5839 8.5839 8.5839 Å, 60.12 60.12 60.12°
Element x y z (fractional)
Mn (0.0000, 0.0000, 0.0000)
Mn (0.4977, 0.4977, 0.4977)
V (0.1442, 0.1442, 0.1442)
V (0.6440, 0.6440, 0.6440)
V (0.8558, 0.8558, 0.8558)
Co (0.3544, 0.3544, 0.3544)
P (0.0423, 0.7485, 0.4600)
P (0.2515, 0.5432, 0.9588)
P (0.4600, 0.0423, 0.7485)
P (0.5432, 0.9588, 0.2515)
P (0.7485, 0.4600, 0.0423)
P (0.9588, 0.2515, 0.5432)
O (0.9997, 0.8133, 0.6194)
O (0.0542, 0.9156, 0.2665)
O (0.0843, 0.7376, 0.9364)
O (0.1170, 0.3048, 0.5147)
O (0.1982, 0.3806, 0.9913)
O (0.2331, 0.5858, 0.4486)
O (0.2665, 0.0542, 0.9156)
O (0.3048, 0.5147, 0.1170)
O (0.3806, 0.9913, 0.1982)
O (0.4154, 0.5645, 0.7623)
O (0.4486, 0.2331, 0.5858)
O (0.4992, 0.8803, 0.6896)
O (0.5147, 0.1170, 0.3048)
O (0.5645, 0.7623, 0.4154)
O (0.5858, 0.4486, 0.2331)
O (0.6194, 0.9997, 0.8133)
O (0.6896, 0.4992, 0.8803)
O (0.7376, 0.9364, 0.0843)
O (0.7623, 0.4154, 0.5645)
O (0.8133, 0.6194, 0.9997)
O (0.8803, 0.6896, 0.4992)
O (0.9156, 0.2665, 0.0542)
O (0.9364, 0.0843, 0.7376)
O (0.9913, 0.1982, 0.3806)


# 6
# Mn3Co3Sb2O16
Calculated powder diffraction line list, CuKα. Input: a DFT-relaxed cell (PBE+U, the Materials Project).

Peak list (8 most intense, 10 to 90 degrees two-theta, low angle first)
19.88°, I = 69.5
19.99°, I = 100.0
20.09°, I = 29.9
26.03°, I = 32.6
33.94°, I = 33.8
36.34°, I = 31.1
36.47°, I = 30.7
36.74°, I = 30.9

Crystal structure
Cell: 5.8308 5.8440 9.2751 Å, 89.47 89.89 60.45°
Element x y z (fractional)
Mn (0.0000, 0.0000, 0.0000)
Mn (0.0009, 0.5054, 0.9993)
Mn (0.8337, 0.3392, 0.5008)
Co (0.3377, 0.3441, 0.4979)
Co (0.3419, 0.8375, 0.5065)
Co (0.5038, 0.0018, 0.0041)
Sb (0.4990, 0.5019, 0.2237)
Sb (0.8338, 0.8393, 0.7214)
O (0.0040, 0.0059, 0.6113)
O (0.0067, 0.4973, 0.6126)
O (0.1351, 0.6879, 0.8780)
O (0.1591, 0.1750, 0.9028)
O (0.1705, 0.1848, 0.4062)
O (0.2070, 0.6345, 0.3771)
O (0.3305, 0.8390, 0.1154)
O (0.3329, 0.3345, 0.1118)
O (0.4951, 0.0129, 0.6140)
O (0.5079, 0.4842, 0.6046)
O (0.6494, 0.2050, 0.3798)
O (0.6572, 0.6398, 0.3730)
O (0.6998, 0.6777, 0.8724)
O (0.7013, 0.1283, 0.8738)
O (0.8404, 0.3301, 0.1119)
O (0.8543, 0.8235, 0.1069)